# 1
For Ca4HgH2, DFT lattice parameters and positions (GGA-PBE) gives the theoretical PXRD pattern in this record (copper Kα).

Principal peaks in the range 2θ = 15–90°, low angle first:
hkl	2θ (°)	I/Imax
1 1 0	16.08	33
1 0 1	18.56	100
2 1 1	29.58	96
1 1 2	33.80	37
3 1 0	36.45	40
2 0 2	37.65	49
3 2 1	44.50	32
4 1 1	50.59	19
4 2 0	52.45	29
4 3 1	61.41	19

Crystal structure
```
data_Ca4HgH2
_symmetry_space_group_name_H-M 'I 4 2 2'
_symmetry_Int_Tables_number 97
_symmetry_space_group_name_Hall 'I 4 2'
_cell_length_a 7.7944
_cell_length_b 7.7944
_cell_length_c 6.0503
_cell_angle_alpha 90.00
_cell_angle_beta 90.00
_cell_angle_gamma 90.00
loop_
_atom_site_label
_atom_site_type_symbol
_atom_site_fract_x
_atom_site_fract_y
_atom_site_fract_z
Ca1 Ca 0.1553 0.3447 0.2500
Hg1 Hg 0.0000 0.0000 0.5000
H1 H 0.0000 0.5000 0.0000
```

=====

# 2
For ScTe3PbAu, DFT lattice parameters and positions (GGA-PBE) gives the theoretical PXRD pattern in this record (copper Kα).

Principal peaks in the range 2θ = 15–90°, low angle first:
hkl	2θ (°)	I/Imax
1 1 1	26.69	23
2 0 1	26.83	41
1 1 -2	27.72	66
2 1 -1	30.38	34
2 1 0	31.09	47
1 1 -3	33.39	32
2 1 1	34.25	100
3 1 -2	39.96	20
1 0 4	41.05	19
0 2 0	42.63	41

Crystal structure
```
data_ScTe3PbAu
_symmetry_space_group_name_H-M 'P 1 21/m 1'
_symmetry_Int_Tables_number 11
_cell_length_a 8.2084
_cell_length_b 4.2413
_cell_length_c 10.4843
_cell_angle_alpha 90.00
_cell_angle_beta 107.45
_cell_angle_gamma 90.00
loop_
_symmetry_equiv_pos_as_xyz
'x,y,z'
'-x,-y,-z'
'-x,y+1/2,-z'
'x,-y+1/2,z'
loop_
_atom_site_label
_atom_site_type_symbol
_atom_site_fract_x
_atom_site_fract_y
_atom_site_fract_z
Sc1 Sc 0.2037 0.2500 0.1809
Te1 Te 0.0681 0.2500 0.8796
Te2 Te 0.2043 0.2500 0.4619
Te3 Te 0.4395 0.7500 0.1515
Pb1 Pb 0.2283 0.7500 0.7170
Au1 Au 0.3999 0.7500 0.4015
```

=====

# 3
For UMn2CuS6, DFT lattice parameters and positions (GGA-PBE) gives the theoretical PXRD pattern in this record (copper Kα).

Principal peaks in the range 2θ = 15–90°, low angle first:
hkl	2θ (°)	I/Imax
1 0 1	17.23	48
0 1 2	19.39	92
1 0 4	26.37	77
1 1 0	28.70	64
1 1 3	32.68	53
0 2 4	39.37	32
2 -1 6	42.68	100
3 -1 4	49.44	31
3 0 0	50.84	46
2 2 6	68.49	23

Crystal structure
```
data_UMn2CuS6
_symmetry_space_group_name_H-M 'R 3'
_symmetry_Int_Tables_number 146
_symmetry_space_group_name_Hall 'R 3'
_cell_length_a 6.2215
_cell_length_b 6.2215
_cell_length_c 17.3568
_cell_angle_alpha 90.00
_cell_angle_beta 90.00
_cell_angle_gamma 120.00
loop_
_atom_site_label
_atom_site_type_symbol
_atom_site_fract_x
_atom_site_fract_y
_atom_site_fract_z
U1 U 0.0000 0.0000 0.0000
Mn1 Mn 0.0000 0.0000 0.3168
Mn2 Mn 0.0000 0.0000 0.8118
Cu1 Cu 0.0000 0.0000 0.5109
S1 S 0.0065 0.3517 0.5714
S2 S 0.0135 0.7003 0.4095
```

=====

# 4
For FeH5Pd4, DFT lattice parameters and positions (GGA-PBE) gives the theoretical PXRD pattern in this record (copper Kα).

Principal peaks in the range 2θ = 15–90°, low angle first:
hkl	2θ (°)	I/Imax
1 1 0	19.42	2
1 0 1	25.80	3
2 0 0	27.60	2
2 1 1	38.14	100
0 0 2	44.33	51
2 3 1	56.02	1
4 1 1	63.57	1
1 3 2	64.49	32
2 1 3	77.45	36
4 2 2	81.60	11

Crystal structure
```
data_FeH5Pd4
_symmetry_space_group_name_H-M 'I 4/m'
_symmetry_Int_Tables_number 87
_symmetry_space_group_name_Hall '-I 4'
_cell_length_a 6.4634
_cell_length_b 6.4634
_cell_length_c 4.0856
_cell_angle_alpha 90.00
_cell_angle_beta 90.00
_cell_angle_gamma 90.00
loop_
_atom_site_label
_atom_site_type_symbol
_atom_site_fract_x
_atom_site_fract_y
_atom_site_fract_z
Fe1 Fe 0.0000 0.0000 0.0000
H1 H 0.0000 0.0000 0.5000
H2 H 0.0989 0.2864 0.0000
Pd1 Pd 0.1052 0.2963 0.5000
```

=====

What did the fourth record say?
For FeH5Pd4, DFT lattice parameters and positions (GGA-PBE) gives the theoretical PXRD pattern in this record (copper Kα).

Principal peaks in the range 2θ = 15–90°, low angle first:
hkl	2θ (°)	I/Imax
1 1 0	19.42	2
1 0 1	25.80	3
2 0 0	27.60	2
2 1 1	38.14	100
0 0 2	44.33	51
2 3 1	56.02	1
4 1 1	63.57	1
1 3 2	64.49	32
2 1 3	77.45	36
4 2 2	81.60	11

Crystal structure
```
data_FeH5Pd4
_symmetry_space_group_name_H-M 'I 4/m'
_symmetry_Int_Tables_number 87
_symmetry_space_group_name_Hall '-I 4'
_cell_length_a 6.4634
_cell_length_b 6.4634
_cell_length_c 4.0856
_cell_angle_alpha 90.00
_cell_angle_beta 90.00
_cell_angle_gamma 90.00
loop_
_atom_site_label
_atom_site_type_symbol
_atom_site_fract_x
_atom_site_fract_y
_atom_site_fract_z
Fe1 Fe 0.0000 0.0000 0.0000
H1 H 0.0000 0.0000 0.5000
H2 H 0.0989 0.2864 0.0000
Pd1 Pd 0.1052 0.2963 0.5000
```